[1]
Tm12ThTl3: simulated X-ray diffraction stick pattern (Cu Ka), based on DFT lattice parameters and positions (PBE).
Lines closer than 0.1° are merged.

Unit cell a=4.8213 b=4.8213 c=19.5126 alpha=90.00 beta=90.00 gamma=90.00
Space group P4/mmm (No. 123)
Unique sites:
Tm  0.0000  0.0000  0.0000 (multiplicity 1)
Tm  0.0000  0.0000  0.2449 (multiplicity 2)
Tm  0.0000  0.0000  0.5000 (multiplicity 1)
Tm  0.0000  0.5000  0.1231 (multiplicity 4)
Tm  0.0000  0.5000  0.3711 (multiplicity 4)
Th  0.5000  0.5000  0.5000 (multiplicity 1)
Tl  0.5000  0.5000  0.0000 (multiplicity 1)
Tl  0.5000  0.5000  0.2441 (multiplicity 2)

The 8 most intense peaks (2θ = 5–70°), sorted by position:
- 32.03 deg, intensity 100.0, hkl 1 1 4
- 36.85 deg, intensity 16.8, hkl 0 0 8
- 37.30 deg, intensity 33.5, hkl 2 0 0
- 53.44 deg, intensity 23.3, hkl 2 0 8
- 53.78 deg, intensity 11.8, hkl 2 2 0
- 63.37 deg, intensity 13.5, hkl 1 1 12
- 63.98 deg, intensity 28.1, hkl 3 1 4
- 66.98 deg, intensity 11.9, hkl 2 2 8


[2]
Tm3ThTl: simulated X-ray diffraction stick pattern (Cu Ka), based on DFT lattice parameters and positions (PBE).
Lines closer than 0.1° are merged.

Unit cell a=14.0003 b=3.5999 c=11.8158 alpha=90.00 beta=96.90 gamma=90.00
Space group C2/m (No. 12)
Unique sites:
Tm  0.0444  0.0000  0.1641 (multiplicity 4)
Tm  0.1427  0.0000  0.4579 (multiplicity 4)
Tm  0.1500  0.5000  0.9670 (multiplicity 4)
Th  0.2466  0.0000  0.7477 (multiplicity 4)
Tl  0.0457  0.5000  0.6514 (multiplicity 4)

The 8 most intense peaks (2θ = 5–70°), sorted by position:
- 31.46 deg, intensity 51.8, hkl 4 0 2
- 31.66 deg, intensity 47.5, hkl 2 0 -4
- 31.84 deg, intensity 100.0, hkl 3 1 -1
- 35.00 deg, intensity 76.9, hkl 1 1 3
- 40.10 deg, intensity 25.6, hkl 6 0 -2
- 54.13 deg, intensity 22.4, hkl 7 1 1
- 54.39 deg, intensity 19.3, hkl 5 1 -5
- 60.35 deg, intensity 16.3, hkl 5 1 5